Structure and theoretical XRD peak list of Mn4O7F (a structure optimized by DFT (GGA+U); copper Kα).
Peak positions follow from Bragg's law for the DFT cell and can differ from measured ones.

The 6 most intense peaks (10° ≤ 2θ ≤ 90°), by angle:
2θ (°)  I_rel
25.64  100
31.37  90
31.41  80
37.31  38
55.16  41
56.06  66

Atomic structure:
Unit cell a=9.962 b=8.956 c=5.508 alpha=90.00 beta=90.14 gamma=90.00
Space group Cc (No. 9)
Inequivalent atoms, fractional coordinates:
1 Mn 0.000 0.118 0.000 (multiplicity 4)
2 Mn 0.251 0.127 0.725 (multiplicity 4)
3 Mn 0.253 0.380 0.222 (multiplicity 4)
4 Mn 0.495 0.121 0.039 (multiplicity 4)
5 O 0.085 0.239 0.759 (multiplicity 4)
6 O 0.163 0.490 0.484 (multiplicity 4)
7 O 0.165 0.006 0.976 (multiplicity 4)
8 O 0.336 0.244 0.984 (multiplicity 4)
9 O 0.337 0.262 0.477 (multiplicity 4)
10 O 0.414 0.016 0.765 (multiplicity 4)
11 O 0.414 0.496 0.255 (multiplicity 4)
12 F 0.086 0.252 0.248 (multiplicity 4)